(1)
AcLa8Er3: computed powder XRD pattern (Cu Ka), based on a crystal structure in Alexandria, relaxed with GGA-PBE.
No peak broadening, texture or thermal motion is included.

```
AcLa8Er3
1.0
6.7949 -5.7889 0.0000
6.7949 5.7889 0.0000
-3.3955 0.0000 5.8939
Ac La Er
1 8 3
Cartesian
0.0000 0.0000 0.0000 Ac
2.6129 2.0222 1.5079 La
6.0446 2.5059 1.2890 La
4.1496 2.5059 4.6049 La
2.6129 -2.0222 1.5079 La
7.5813 2.0222 4.3859 La
6.0446 -2.5059 1.2890 La
4.1496 -2.5059 4.6049 La
7.5813 -2.0222 4.3859 La
1.2100 0.0000 4.6315 Er
5.0971 0.0000 2.9469 Er
8.9842 0.0000 1.2623 Er
```

Peak list (12 most intense, 10° ≤ 2θ ≤ 80°, by angle)
2θ (°)	I (rel.)
15.08	21
21.38	25
26.20	13
30.36	73
30.49	28
30.66	100
34.12	25
34.18	18
43.51	15
54.13	14
63.15	13
63.84	13

***

(2)
Ac3La2Er3: computed powder XRD pattern (Cu Ka), based on a crystal structure in Alexandria, relaxed with GGA-PBE.
No peak broadening, texture or thermal motion is included.

```
Ac3La2Er3
1.0
10.1968 0.0000 0.0000
-5.0984 8.8307 0.0000
0.0000 0.0000 6.8154
Ac La Er
6 4 6
Cartesian
-1.1859 2.0540 1.7039 Ac
-3.9125 6.7766 5.1116 Ac
2.3718 0.0000 1.7039 Ac
1.1859 2.0540 5.1116 Ac
7.8250 0.0000 5.1116 Ac
3.9125 6.7766 1.7039 Ac
0.0000 5.8871 0.0000 La
0.0000 5.8871 3.4077 La
5.0984 2.9436 0.0000 La
5.0984 2.9436 3.4077 La
-2.1031 3.6427 5.1116 Er
-2.9953 5.1880 1.7039 Er
4.2062 0.0000 5.1116 Er
2.1031 3.6427 1.7039 Er
5.9906 0.0000 1.7039 Er
2.9953 5.1880 5.1116 Er
```

Peak list (12 most intense, 10° ≤ 2θ ≤ 80°, by angle)
2θ (°)	I (rel.)
26.15	18
26.71	27
28.07	10
29.81	100
30.37	14
31.58	37
37.69	10
47.16	8
48.47	27
49.17	14
55.75	13
58.90	17

***

Q: Which formula does entry 1 have?
A: AcLa8Er3

***

Copy entry 1 word for word.
AcLa8Er3: computed powder XRD pattern (Cu Ka), based on a crystal structure in Alexandria, relaxed with GGA-PBE.
No peak broadening, texture or thermal motion is included.

```
AcLa8Er3
1.0
6.7949 -5.7889 0.0000
6.7949 5.7889 0.0000
-3.3955 0.0000 5.8939
Ac La Er
1 8 3
Cartesian
0.0000 0.0000 0.0000 Ac
2.6129 2.0222 1.5079 La
6.0446 2.5059 1.2890 La
4.1496 2.5059 4.6049 La
2.6129 -2.0222 1.5079 La
7.5813 2.0222 4.3859 La
6.0446 -2.5059 1.2890 La
4.1496 -2.5059 4.6049 La
7.5813 -2.0222 4.3859 La
1.2100 0.0000 4.6315 Er
5.0971 0.0000 2.9469 Er
8.9842 0.0000 1.2623 Er
```

Peak list (12 most intense, 10° ≤ 2θ ≤ 80°, by angle)
2θ (°)	I (rel.)
15.08	21
21.38	25
26.20	13
30.36	73
30.49	28
30.66	100
34.12	25
34.18	18
43.51	15
54.13	14
63.15	13
63.84	13